For NaNdNb4O12, a DFT-relaxed cell (GGA-PBE, the Materials Project) gives the simulated X-ray powder pattern in this record (Cu Kα (λ = 1.5418 Å)).
Neutral-atom scattering factors, no anomalous dispersion.

Most intense lines, 5 to 70 degrees two-theta, by intensity:
(1 1 4), 31.69 deg, rel. 100; (2 0 0), 31.84 deg, rel. 50; (1 1 0), 22.37 deg, rel. 44; (2 2 0), 45.65 deg, rel. 41; (3 1 4), 56.64 deg, rel. 39; (0 0 2), 11.03 deg, rel. 37; (1 0 1), 16.71 deg, rel. 32; (1 1 2), 25.00 deg, rel. 28; (2 2 8), 66.21 deg, rel. 24; (0 0 4), 22.16 deg, rel. 22

Atomic structure:
```
data_NaNdNb4O12
_cell_length_a 5.621
_cell_length_b 5.621
_cell_length_c 16.043
_cell_angle_alpha 90.00
_cell_angle_beta 90.00
_cell_angle_gamma 90.00
_symmetry_space_group_name_H-M 'I 4/m m m'
_symmetry_Int_Tables_number 139
_symmetry_space_group_name_Hall '-I 4 2'
loop_
_atom_site_label
_atom_site_fract_x
_atom_site_fract_y
_atom_site_fract_z
_atom_site_occupancy
Na1 0.000 0.000 0.000 1
Nd1 0.000 0.000 0.500 1
Nb1 0.000 0.500 0.129 1
O1 0.000 0.500 0.000 1
O2 0.000 0.500 0.250 1
O3 0.242 0.242 0.386 1
```